# 1
GaCoNiMo: calculated powder diffraction line list (CuKα), based on a PBE-relaxed structure.
Neutral-atom scattering factors, no anomalous dispersion.

Top 8 peaks for 2θ from 10° to 90°, by angle:
Position (°2θ)  d [Å]  Rel. int.
26.2  3.408  4.0
30.3  2.951  0.7
43.4  2.087  100.0
51.3  1.780  1.9
63.0  1.476  15.5
69.4  1.354  0.9
79.6  1.205  31.0
85.5  1.136  0.8

Cell and atoms:
Cell: 4.173 4.173 4.173 Å, 60.00 60.00 60.00°
Element x y z (fractional)
Ga: 0.000 0.000 0.000
Co: 0.250 0.250 0.250
Ni: 0.500 0.500 0.500
Mo: 0.750 0.750 0.750



# 2
ZnGaCoMo: calculated powder diffraction line list (CuKα), based on a PBE-relaxed structure.
Neutral-atom scattering factors, no anomalous dispersion.

Top 7 peaks for 2θ from 10° to 90°, by angle:
Position (°2θ)  d [Å]  Rel. int.
25.5  3.487  3.6
42.3  2.135  100.0
50.1  1.821  1.7
61.4  1.510  15.7
67.6  1.386  0.8
77.4  1.233  31.2
83.1  1.162  0.7

Cell and atoms:
Cell: 4.271 4.271 4.271 Å, 60.00 60.00 60.00°
Element x y z (fractional)
Zn: 0.000 0.000 0.000
Ga: 0.500 0.500 0.500
Co: 0.750 0.750 0.750
Mo: 0.250 0.250 0.250



# 3
Nb2Ga3Co3: calculated powder diffraction line list (CuKα), based on a PBE-relaxed structure.
Neutral-atom scattering factors, no anomalous dispersion.

Top 10 peaks for 2θ from 10° to 90°, by angle:
Position (°2θ)  d [Å]  Rel. int.
39.0  2.308  61.7
39.6  2.276  100.0
41.5  2.174  45.1
43.7  2.072  23.4
45.6  1.988  28.6
49.3  1.848  26.9
67.3  1.392  12.2
71.1  1.326  33.3
83.8  1.154  17.9
85.3  1.138  13.1

Cell and atoms:
Cell: 6.990 6.990 6.990 Å, 38.56 38.56 38.56°
Element x y z (fractional)
Nb: 0.205 0.205 0.205
Nb: 0.795 0.795 0.795
Ga: 0.066 0.066 0.066
Ga: 0.500 0.500 0.500
Ga: 0.934 0.934 0.934
Co: 0.000 0.500 0.500
Co: 0.500 0.000 0.500
Co: 0.500 0.500 0.000



# 4
Pr2NdGa2Co4: calculated powder diffraction line list (CuKα), based on a PBE-relaxed structure.
Neutral-atom scattering factors, no anomalous dispersion.

Top 10 peaks for 2θ from 10° to 90°, by angle:
Position (°2θ)  d [Å]  Rel. int.
26.5  3.365  68.8
30.6  2.918  34.4
31.1  2.873  77.6
34.5  2.602  100.0
34.8  2.575  48.2
35.5  2.531  43.1
38.5  2.337  47.4
42.3  2.139  58.5
44.0  2.060  61.6
63.4  1.467  28.8

Cell and atoms:
Cell: 5.510 5.510 8.229 Å, 99.29 99.29 43.90°
Element x y z (fractional)
Pr: 0.128 0.128 0.374
Pr: 0.872 0.872 0.626
Nd: 0.500 0.500 0.000
Ga: 0.176 0.176 0.780
Ga: 0.824 0.824 0.220
Co: 0.245 0.245 0.081
Co: 0.423 0.423 0.371
Co: 0.577 0.577 0.629
Co: 0.755 0.755 0.919



# 5
Nd3GaCoSe7: calculated powder diffraction line list (CuKα), based on a PBE-relaxed structure.
Neutral-atom scattering factors, no anomalous dispersion.

Top 10 peaks for 2θ from 10° to 90°, by angle:
Position (°2θ)  d [Å]  Rel. int.
24.2  3.672  100.0
29.0  3.079  31.1
30.0  2.983  79.8
33.3  2.693  89.7
34.0  2.638  86.4
35.1  2.558  86.7
38.4  2.345  45.0
39.1  2.301  37.1
43.1  2.099  41.2
46.3  1.963  49.3

Cell and atoms:
Cell: 10.230 10.230 6.567 Å, 90.00 90.00 120.00°
Element x y z (fractional)
Nd: 0.161 0.787 0.000
Nd: 0.213 0.374 0.000
Nd: 0.374 0.161 0.500
Nd: 0.626 0.839 0.000
Nd: 0.787 0.626 0.500
Nd: 0.839 0.213 0.500
Ga: 0.333 0.667 0.418
Ga: 0.667 0.333 0.918
Co: 0.000 0.000 0.341
Co: 0.000 0.000 0.841
Se: 0.083 0.522 0.274
Se: 0.097 0.876 0.594
Se: 0.124 0.221 0.594
Se: 0.221 0.097 0.094
Se: 0.333 0.667 0.785
Se: 0.439 0.917 0.274
Se: 0.478 0.561 0.274
Se: 0.522 0.439 0.774
Se: 0.561 0.083 0.774
Se: 0.667 0.333 0.285
Se: 0.779 0.903 0.594
Se: 0.876 0.779 0.094
Se: 0.903 0.124 0.094
Se: 0.917 0.478 0.774



# 6
Sc2Ga4CoNi: calculated powder diffraction line list (CuKα), based on a PBE-relaxed structure.
Neutral-atom scattering factors, no anomalous dispersion.

Top 10 peaks for 2θ from 10° to 90°, by angle:
Position (°2θ)  d [Å]  Rel. int.
18.6  4.766  21.7
36.0  2.496  22.5
36.8  2.445  100.0
38.6  2.330  58.6
40.3  2.237  28.1
44.9  2.017  50.6
45.8  1.979  60.0
46.0  1.972  21.0
47.3  1.921  21.6
48.7  1.871  43.3

Cell and atoms:
Cell: 6.498 5.175 5.175 Å, 45.88 90.00 90.00°
Element x y z (fractional)
Sc: 0.000 0.000 0.000
Sc: 0.500 0.150 0.150
Ga: 0.200 0.715 0.715
Ga: 0.301 0.438 0.438
Ga: 0.699 0.438 0.438
Ga: 0.800 0.715 0.715
Co: 0.500 0.870 0.870
Ni: 0.000 0.282 0.282